No. 1
K4Hg16Pd3: simulated powder diffractogram (λ = 1.5418 Å (Cu Kα)), based on DFT lattice parameters and positions (PBE).
No peak broadening, texture or thermal motion is included.

Most intense lines, 2θ = 15–90°, by intensity:
2θ (°)	d (Å)	I_rel
32.9	2.723	100.0
36.2	2.482	86.4
28.9	3.086	49.7
51.0	1.792	40.0
37.8	2.379	35.5
34.7	2.589	31.8
52.1	1.755	28.9
63.0	1.475	27.5
22.6	3.939	20.8
64.1	1.453	19.5

Cell and atoms:
abc: 7.0204 7.0204 12.9432
angles: 90.00 90.00 90.00
Fractional positions:
K: 0.0000 0.5000 0.1931
K: 0.0000 0.5000 0.8069
K: 0.5000 0.0000 0.1931
K: 0.5000 0.0000 0.8069
Hg: 0.0000 0.0000 0.2174
Hg: 0.0000 0.0000 0.7826
Hg: 0.2486 0.2486 0.3829
Hg: 0.2486 0.2486 0.6171
Hg: 0.2486 0.7514 0.3829
Hg: 0.2486 0.7514 0.6171
Hg: 0.2793 0.2793 0.0000
Hg: 0.2793 0.7207 0.0000
Hg: 0.5000 0.5000 0.2186
Hg: 0.5000 0.5000 0.7814
Hg: 0.7207 0.2793 0.0000
Hg: 0.7207 0.7207 0.0000
Hg: 0.7514 0.2486 0.3829
Hg: 0.7514 0.2486 0.6171
Hg: 0.7514 0.7514 0.3829
Hg: 0.7514 0.7514 0.6171
Pd: 0.0000 0.0000 0.0000
Pd: 0.0000 0.5000 0.5000
Pd: 0.5000 0.0000 0.5000



No. 2
KHgPd: simulated powder diffractogram (λ = 1.5418 Å (Cu Kα)), based on DFT lattice parameters and positions (PBE).
No peak broadening, texture or thermal motion is included.

Most intense lines, 2θ = 15–90°, by intensity:
2θ (°)	d (Å)	I_rel
15.0	5.900	100.0
38.9	2.315	53.4
35.7	2.517	38.1
30.3	2.950	25.8
47.5	1.915	22.3
33.3	2.687	21.6
38.6	2.335	19.5
41.6	2.171	16.8
49.8	1.831	12.7
64.3	1.448	10.3

Cell and atoms:
abc: 4.6697 6.6134 6.6134
angles: 126.28 90.00 90.00
Fractional positions:
K: 0.0000 0.0000 0.0000
K: 0.5000 0.4932 0.4932
Hg: 0.0000 0.3417 0.7804
Hg: 0.0000 0.7804 0.3417
Pd: 0.5000 0.0540 0.5714
Pd: 0.5000 0.5714 0.0540



No. 3
KHg2Pd3: simulated powder diffractogram (λ = 1.5418 Å (Cu Kα)), based on DFT lattice parameters and positions (PBE).
No peak broadening, texture or thermal motion is included.

Most intense lines, 2θ = 15–90°, by intensity:
2θ (°)	d (Å)	I_rel
36.8	2.440	100.0
17.6	5.040	72.1
41.1	2.196	57.5
30.7	2.910	29.6
58.7	1.573	25.8
40.3	2.239	25.2
78.4	1.220	21.5
64.0	1.455	19.1
71.0	1.328	14.7
44.3	2.047	14.5

Cell and atoms:
abc: 5.8202 5.8202 4.4789
angles: 90.00 90.00 120.00
Fractional positions:
K: 0.0000 0.0000 0.0000
Hg: 0.3333 0.6667 0.0000
Hg: 0.6667 0.3333 0.0000
Pd: 0.0000 0.5000 0.5000
Pd: 0.5000 0.0000 0.5000
Pd: 0.5000 0.5000 0.5000



No. 4
KTl2HgPd2: simulated powder diffractogram (λ = 1.5418 Å (Cu Kα)), based on DFT lattice parameters and positions (PBE).
No peak broadening, texture or thermal motion is included.

Most intense lines, 2θ = 15–90°, by intensity:
2θ (°)	d (Å)	I_rel
33.0	2.712	100.0
34.4	2.610	81.5
48.4	1.881	69.3
24.1	3.692	48.0
49.4	1.846	29.3
37.2	2.414	28.6
37.4	2.407	24.4
71.6	1.317	21.8
69.3	1.356	20.8
60.7	1.526	17.7

Cell and atoms:
abc: 5.2207 5.2207 6.3480
angles: 90.00 90.00 90.00
Fractional positions:
K: 0.0000 0.0000 0.0000
Tl: 0.5000 0.5000 0.2591
Tl: 0.5000 0.5000 0.7409
Hg: 0.0000 0.0000 0.5000
Pd: 0.0000 0.5000 0.5000
Pd: 0.5000 0.0000 0.5000



No. 5
KTlHg2Pd2: simulated powder diffractogram (λ = 1.5418 Å (Cu Kα)), based on DFT lattice parameters and positions (PBE).
No peak broadening, texture or thermal motion is included.

Most intense lines, 2θ = 15–90°, by intensity:
2θ (°)	d (Å)	I_rel
32.9	2.721	100.0
34.6	2.595	80.0
48.5	1.878	68.4
37.4	2.407	53.9
24.2	3.671	47.1
49.7	1.835	28.7
71.9	1.313	21.3
69.0	1.361	20.5
60.9	1.522	17.4
82.3	1.171	15.2

Cell and atoms:
abc: 5.1910 5.1910 6.3910
angles: 90.00 90.00 90.00
Fractional positions:
K: 0.0000 0.0000 0.0000
Tl: 0.0000 0.0000 0.5000
Hg: 0.5000 0.5000 0.2627
Hg: 0.5000 0.5000 0.7373
Pd: 0.0000 0.5000 0.5000
Pd: 0.5000 0.0000 0.5000



No. 6
KPm2Hg3: simulated powder diffractogram (λ = 1.5418 Å (Cu Kα)), based on DFT lattice parameters and positions (PBE).
No peak broadening, texture or thermal motion is included.

Most intense lines, 2θ = 15–90°, by intensity:
2θ (°)	d (Å)	I_rel
31.9	2.804	100.0
33.1	2.710	57.2
58.3	1.582	36.2
37.4	2.403	26.4
47.4	1.916	21.0
61.9	1.498	12.5
62.9	1.477	12.5
23.2	3.833	10.6
56.2	1.638	9.7
79.0	1.212	9.6

Cell and atoms:
abc: 3.8328 3.8328 12.3362
angles: 90.00 90.00 90.00
Fractional positions:
K: 0.0000 0.0000 0.0000
Pm: 0.0000 0.0000 0.3446
Pm: 0.0000 0.0000 0.6554
Hg: 0.5000 0.5000 0.2036
Hg: 0.5000 0.5000 0.5000
Hg: 0.5000 0.5000 0.7964



No. 7
KPr5Hg6: simulated powder diffractogram (λ = 1.5418 Å (Cu Kα)), based on DFT lattice parameters and positions (PBE).
No peak broadening, texture or thermal motion is included.

Most intense lines, 2θ = 15–90°, by intensity:
2θ (°)	d (Å)	I_rel
32.6	2.747	100.0
58.2	1.586	36.5
46.8	1.943	17.9
77.7	1.229	15.0
68.3	1.374	11.0
22.9	3.886	6.0
86.8	1.122	3.8
52.7	1.738	2.6
40.2	2.243	1.9
40.0	2.254	1.5

Cell and atoms:
abc: 9.5201 9.5201 9.5201
angles: 146.47 131.81 59.98
Fractional positions:
K: 0.0000 0.0000 0.0000
Pr: 0.1573 0.6573 0.5000
Pr: 0.3307 0.3307 0.0000
Pr: 0.5000 0.0000 0.5000
Pr: 0.6693 0.6693 0.0000
Pr: 0.8427 0.3427 0.5000
Hg: 0.0868 0.8263 0.2605
Hg: 0.2699 0.5000 0.7699
Hg: 0.4342 0.1737 0.2605
Hg: 0.5658 0.8263 0.7395
Hg: 0.7301 0.5000 0.2301
Hg: 0.9132 0.1737 0.7395



No. 8
KPrHg17: simulated powder diffractogram (λ = 1.5418 Å (Cu Kα)), based on DFT lattice parameters and positions (PBE).
No peak broadening, texture or thermal motion is included.

Most intense lines, 2θ = 15–90°, by intensity:
2θ (°)	d (Å)	I_rel
34.5	2.597	100.0
31.3	2.861	31.3
31.9	2.807	21.2
28.9	3.093	18.7
55.6	1.652	18.7
34.2	2.624	16.5
28.3	3.151	14.9
36.8	2.443	13.0
39.2	2.300	12.1
69.0	1.360	11.3

Cell and atoms:
abc: 8.4269 8.4269 8.4269
angles: 72.05 72.05 72.05
Fractional positions:
K: 0.0000 0.0000 0.0000
Pr: 0.6956 0.6956 0.6956
Hg: 0.0564 0.3673 0.6742
Hg: 0.0564 0.6742 0.3673
Hg: 0.2904 0.7042 0.7042
Hg: 0.2982 0.2982 0.2982
Hg: 0.3028 0.3028 0.9312
Hg: 0.3028 0.9312 0.3028
Hg: 0.3673 0.0564 0.6742
Hg: 0.3673 0.6742 0.0564
Hg: 0.4631 0.4631 0.4631
Hg: 0.5955 0.9548 0.9548
Hg: 0.6742 0.0564 0.3673
Hg: 0.6742 0.3673 0.0564
Hg: 0.7042 0.2904 0.7042
Hg: 0.7042 0.7042 0.2904
Hg: 0.9312 0.3028 0.3028
Hg: 0.9548 0.5955 0.9548
Hg: 0.9548 0.9548 0.5955



No. 9
K3Hg9Pt2: simulated powder diffractogram (λ = 1.5418 Å (Cu Kα)), based on DFT lattice parameters and positions (PBE).
No peak broadening, texture or thermal motion is included.

Most intense lines, 2θ = 15–90°, by intensity:
2θ (°)	d (Å)	I_rel
35.0	2.565	100.0
30.2	2.962	93.3
17.3	5.131	87.0
50.3	1.814	63.4
39.3	2.294	43.1
59.8	1.547	33.3
84.4	1.147	21.0
62.7	1.481	19.2
53.6	1.710	17.3
65.6	1.423	13.3

Cell and atoms:
abc: 7.2523 7.2523 8.8965
angles: 90.00 90.00 120.00
Fractional positions:
K: 0.0000 0.0000 0.0000
K: 0.3333 0.6667 0.3356
K: 0.6667 0.3333 0.6644
Hg: 0.0000 0.5000 0.0000
Hg: 0.1478 0.2957 0.6449
Hg: 0.1478 0.8522 0.6449
Hg: 0.2957 0.1478 0.3551
Hg: 0.5000 0.0000 0.0000
Hg: 0.5000 0.5000 0.0000
Hg: 0.7043 0.8522 0.6449
Hg: 0.8522 0.1478 0.3551
Hg: 0.8522 0.7043 0.3551
Pt: 0.3333 0.6667 0.8073
Pt: 0.6667 0.3333 0.1927



No. 10
K2Hg5Pt: simulated powder diffractogram (λ = 1.5418 Å (Cu Kα)), based on DFT lattice parameters and positions (PBE).
No peak broadening, texture or thermal motion is included.

Most intense lines, 2θ = 15–90°, by intensity:
2θ (°)	d (Å)	I_rel
30.6	2.919	100.0
15.2	5.823	98.1
41.0	2.202	57.0
37.7	2.386	51.3
63.7	1.461	24.7
40.9	2.208	24.6
70.3	1.340	24.4
54.4	1.688	17.9
18.6	4.774	14.9
49.4	1.843	14.3

Cell and atoms:
abc: 7.5206 7.5206 7.5206
angles: 126.66 126.66 78.80
Fractional positions:
K: 0.0000 0.5000 0.5000
K: 0.5000 0.0000 0.5000
Hg: 0.0088 0.0088 0.5009
Hg: 0.0088 0.5079 0.0000
Hg: 0.1057 0.1057 0.0000
Hg: 0.5079 0.0088 0.0000
Hg: 0.5079 0.5079 0.4991
Pt: 0.8735 0.8735 0.0000



No. 11
KHg2Pt: simulated powder diffractogram (λ = 1.5418 Å (Cu Kα)), based on DFT lattice parameters and positions (PBE).
No peak broadening, texture or thermal motion is included.

Most intense lines, 2θ = 15–90°, by intensity:
2θ (°)	d (Å)	I_rel
35.2	2.546	100.0
41.1	2.198	65.0
35.7	2.513	32.3
27.5	3.248	22.1
42.5	2.128	21.3
23.6	3.769	20.6
59.8	1.546	20.2
21.7	4.096	19.4
56.7	1.624	17.3
73.0	1.295	14.4

Cell and atoms:
abc: 8.0263 8.0263 8.0263
angles: 154.78 149.25 40.18
Fractional positions:
K: 0.0000 0.0000 0.0000
Hg: 0.3501 0.3501 0.0000
Hg: 0.6852 0.1852 0.5000
Pt: 0.1935 0.6935 0.5000



No. 12
K3Hg3Pt: simulated powder diffractogram (λ = 1.5418 Å (Cu Kα)), based on DFT lattice parameters and positions (PBE).
No peak broadening, texture or thermal motion is included.

Most intense lines, 2θ = 15–90°, by intensity:
2θ (°)	d (Å)	I_rel
22.0	4.039	100.0
36.5	2.461	77.5
26.0	3.429	60.6
31.2	2.871	57.2
41.1	2.198	34.5
31.7	2.825	31.4
41.4	2.181	30.0
36.0	2.497	26.6
15.2	5.829	26.3
43.5	2.080	21.9

Cell and atoms:
abc: 10.8823 10.8823 14.1421
angles: 90.00 90.00 37.84
Fractional positions:
K: 0.0207 0.6446 0.6381
K: 0.1446 0.5207 0.1381
K: 0.2252 0.7748 0.8223
K: 0.2748 0.7252 0.3223
K: 0.3554 0.9793 0.6381
K: 0.4793 0.8554 0.1381
K: 0.5207 0.1446 0.8619
K: 0.6446 0.0207 0.3619
K: 0.7252 0.2748 0.6777
K: 0.7748 0.2252 0.1777
K: 0.8554 0.4793 0.8619
K: 0.9793 0.3554 0.3619
Hg: 0.0202 0.6552 0.8980
Hg: 0.1552 0.5202 0.3980
Hg: 0.1758 0.8242 0.5729
Hg: 0.3242 0.6758 0.0729
Hg: 0.3448 0.9798 0.8980
Hg: 0.4798 0.8448 0.3980
Hg: 0.5202 0.1552 0.6020
Hg: 0.6552 0.0202 0.1020
Hg: 0.6758 0.3242 0.9271
Hg: 0.8242 0.1758 0.4271
Hg: 0.8448 0.4798 0.6020
Hg: 0.9798 0.3448 0.1020
Pt: 0.0662 0.0662 0.0000
Pt: 0.4338 0.4338 0.5000
Pt: 0.5662 0.5662 0.5000
Pt: 0.9338 0.9338 0.0000